Structure and theoretical powder diffraction line list of Na2FeO4 (the PBE+U geometry in Alexandria; Cu Kα).
Intensities are scaled so that the largest is 100.

abc: 5.978 8.715 7.848
angles: 90.00 90.00 90.00
Element x y z (fractional)
Na1 0.000 0.000 0.241
Na2 0.000 0.000 0.759
Na3 0.118 0.317 0.000
Na4 0.382 0.817 0.500
Na5 0.500 0.500 0.259
Na6 0.500 0.500 0.741
Na7 0.618 0.183 0.500
Na8 0.882 0.683 0.000
Fe1 0.126 0.253 0.500
Fe2 0.374 0.753 0.000
Fe3 0.626 0.247 0.000
Fe4 0.874 0.747 0.500
O1 0.037 0.736 0.329
O2 0.037 0.736 0.671
O3 0.172 0.883 0.000
O4 0.241 0.077 0.500
O5 0.259 0.577 0.000
O6 0.328 0.383 0.500
O7 0.463 0.236 0.171
O8 0.463 0.236 0.829
O9 0.537 0.764 0.171
O10 0.537 0.764 0.829
O11 0.672 0.617 0.500
O12 0.741 0.423 0.000
O13 0.759 0.923 0.500
O14 0.828 0.117 0.000
O15 0.963 0.264 0.329
O16 0.963 0.264 0.671

Peak list (6 most intense, 2θ = 10–80°, sorted by position)
2theta	d_spacing	I/Imax	(hkl)
20.38	4.358	87	0 2 0
21.28	4.175	100	1 1 1
22.66	3.924	70	0 0 2
27.77	3.213	65	1 2 1
30.66	2.916	54	0 2 2
39.27	2.294	73	2 1 2